Theoretical PXRD pattern of MgFe6O6F6 for Cu Kα (λ = 1.5418 Å), from a cell relaxed with GGA+U.
Intensities are scaled so that the largest is 100.

Cell and atoms:
```
MgFe6O6F6
1.0
5.304 0.000 0.000
0.148 5.803 0.000
0.316 1.038 7.637
Mg Fe O F
1 6 6 6
direct
0.000 0.000 0.000
0.065 0.391 0.220
0.444 0.865 0.191
0.521 0.127 0.818
0.531 0.486 0.500
0.913 0.613 0.799
0.992 0.019 0.514
0.152 0.051 0.264
0.340 0.872 0.962
0.351 0.548 0.281
0.620 0.452 0.735
0.834 0.320 0.417
0.870 0.969 0.755
0.108 0.339 0.959
0.175 0.702 0.582
0.313 0.189 0.576
0.676 0.818 0.418
0.683 0.123 0.096
0.865 0.671 0.092
```

Most intense lines, 5° ≤ 2θ ≤ 70°, in order of rising 2θ:
24.16 deg, I = 80, hkl 1 1 1; 25.20 deg, I = 100, hkl -1 1 1; 33.84 deg, I = 22, hkl 2 0 0; 34.64 deg, I = 23, hkl 1 1 -2; 34.79 deg, I = 22, hkl 0 2 -1; 35.25 deg, I = 26, hkl 0 0 3


Theoretical PXRD pattern of MgFe8O14F2 for Cu Kα (λ = 1.5418 Å), from a cell relaxed with GGA+U.
Intensities are scaled so that the largest is 100.

Cell and atoms:
```
MgFe8O14F2
1.0
4.854 0.000 0.000
0.004 4.855 0.000
0.028 0.178 11.838
Mg Fe O F
1 8 14 2
direct
0.000 0.000 0.000
0.014 0.499 0.561
0.017 0.506 0.320
0.023 0.498 0.064
0.483 0.968 0.190
0.507 0.988 0.930
0.513 0.998 0.434
0.519 0.993 0.674
0.976 0.524 0.805
0.183 0.686 0.189
0.193 0.702 0.931
0.195 0.687 0.680
0.204 0.684 0.443
0.309 0.186 0.061
0.322 0.182 0.314
0.331 0.182 0.555
0.694 0.803 0.315
0.695 0.825 0.805
0.697 0.799 0.062
0.703 0.813 0.552
0.812 0.307 0.935
0.816 0.316 0.680
0.832 0.313 0.439
0.301 0.195 0.807
0.817 0.287 0.187
```

Most intense lines, 5° ≤ 2θ ≤ 70°, in order of rising 2θ:
25.96 deg, I = 100, hkl 1 1 0; 35.53 deg, I = 25, hkl 1 0 -4; 37.04 deg, I = 14, hkl 2 0 0; 51.90 deg, I = 16, hkl -1 2 4; 52.44 deg, I = 15, hkl 2 1 -4; 52.62 deg, I = 15, hkl 1 -2 4


What did the first record say?
Theoretical PXRD pattern of MgFe6O6F6 for Cu Kα (λ = 1.5418 Å), from a cell relaxed with GGA+U.
Intensities are scaled so that the largest is 100.

Cell and atoms:
```
MgFe6O6F6
1.0
5.304 0.000 0.000
0.148 5.803 0.000
0.316 1.038 7.637
Mg Fe O F
1 6 6 6
direct
0.000 0.000 0.000
0.065 0.391 0.220
0.444 0.865 0.191
0.521 0.127 0.818
0.531 0.486 0.500
0.913 0.613 0.799
0.992 0.019 0.514
0.152 0.051 0.264
0.340 0.872 0.962
0.351 0.548 0.281
0.620 0.452 0.735
0.834 0.320 0.417
0.870 0.969 0.755
0.108 0.339 0.959
0.175 0.702 0.582
0.313 0.189 0.576
0.676 0.818 0.418
0.683 0.123 0.096
0.865 0.671 0.092
```

Most intense lines, 5° ≤ 2θ ≤ 70°, in order of rising 2θ:
24.16 deg, I = 80, hkl 1 1 1; 25.20 deg, I = 100, hkl -1 1 1; 33.84 deg, I = 22, hkl 2 0 0; 34.64 deg, I = 23, hkl 1 1 -2; 34.79 deg, I = 22, hkl 0 2 -1; 35.25 deg, I = 26, hkl 0 0 3


> Number 1 is which compound?

MgFe6O6F6